(1)
Computed XRD peak list
Compound: LiAg2F4
Radiation: CuKα
Structure: a PBE-relaxed structure
Kinematic intensities with the Lorentz-polarization factor, no thermal factor.

Cell and atoms:
Cell: 3.3091 10.8913 5.5811 Å, 90.00 93.09 90.00°
Fractional positions:
Li 0.1290 0.2500 0.2988
Li 0.8710 0.7500 0.7012
Ag 0.3689 0.5804 0.2292
Ag 0.3689 0.9196 0.2292
Ag 0.6311 0.0804 0.7708
Ag 0.6311 0.4196 0.7708
F 0.0000 0.0000 0.5000
F 0.0000 0.5000 0.5000
F 0.2210 0.1202 0.0659
F 0.2210 0.3798 0.0659
F 0.3785 0.7500 0.4872
F 0.6215 0.2500 0.5128
F 0.7790 0.6202 0.9341
F 0.7790 0.8798 0.9341

The 10 most intense peaks (5 to 70 degrees two-theta), low angle first:
two_theta	d (Å)	intensity
16.28	5.446	61
17.88	4.961	63
26.98	3.304	25
29.36	3.042	100
30.70	2.912	26
32.23	2.777	36
36.27	2.477	35
36.76	2.445	28
44.64	2.030	26
50.66	1.802	26


(2)
Computed XRD peak list
Compound: K2YHgBr6
Radiation: CuKα
Structure: a PBE-relaxed structure
Kinematic intensities with the Lorentz-polarization factor, no thermal factor.

Cell and atoms:
Cell: 8.2455 8.2455 8.2455 Å, 60.00 60.00 60.00°
Fractional positions:
K 0.2500 0.2500 0.2500
K 0.7500 0.7500 0.7500
Y 0.0000 0.0000 0.0000
Hg 0.5000 0.5000 0.5000
Br 0.2396 0.2396 0.7604
Br 0.2396 0.7604 0.2396
Br 0.2396 0.7604 0.7604
Br 0.7604 0.2396 0.2396
Br 0.7604 0.2396 0.7604
Br 0.7604 0.7604 0.2396

The 10 most intense peaks (5 to 70 degrees two-theta), low angle first:
two_theta	d (Å)	intensity
15.20	5.830	100
21.55	4.123	29
26.48	3.366	21
30.67	2.915	100
34.39	2.607	54
43.92	2.061	72
46.74	1.943	29
54.52	1.683	25
56.95	1.617	14
66.07	1.414	16


(3)
Computed XRD peak list
Compound: KNa2AlH6
Radiation: CuKα
Structure: a PBE-relaxed structure
Kinematic intensities with the Lorentz-polarization factor, no thermal factor.

Cell and atoms:
Cell: 5.5844 5.6634 7.9876 Å, 90.00 90.06 90.00°
Fractional positions:
K 0.2410 0.0000 0.0005
K 0.7590 0.5000 0.9995
Na 0.2499 0.0579 0.5002
Na 0.2529 0.5213 0.7410
Na 0.7471 0.0213 0.2590
Na 0.7501 0.5579 0.4998
Al 0.2395 0.5184 0.2667
Al 0.7605 0.0184 0.7333
H 0.0092 0.2061 0.7602
H 0.0595 0.2678 0.2308
H 0.1703 0.4903 0.4786
H 0.2901 0.5287 0.0430
H 0.4219 0.7716 0.3004
H 0.4976 0.3373 0.2984
H 0.5024 0.8373 0.7016
H 0.5781 0.2716 0.6996
H 0.7099 0.0287 0.9570
H 0.8297 0.9903 0.5214
H 0.9405 0.7678 0.7692
H 0.9908 0.7061 0.2398

The 10 most intense peaks (5 to 70 degrees two-theta), low angle first:
two_theta	d (Å)	intensity
25.01	3.560	9
31.60	2.832	25
31.76	2.818	100
32.05	2.792	25
45.42	1.997	9
45.63	1.988	18
56.37	1.632	23
56.67	1.624	8
56.95	1.617	17
66.35	1.409	10